1.
Theoretical X-ray powder pattern of Li2Zr6MnCl15 for a wavelength of 1.5418 Å, from a crystal structure in Alexandria, relaxed with GGA-PBE.

Structural model:
```
data_Li2Zr6MnCl15
_chemical_formula_sum 'Li4 Zr12 Mn2 Cl30'
_cell_length_a 10.6225
_cell_length_b 10.6225
_cell_length_c 10.3317
_cell_angle_alpha 90.00
_cell_angle_beta 90.00
_cell_angle_gamma 90.00
_space_group_name_H-M_alt 'I 4/m m m'
_space_group_IT_number 139
_space_group_name_Hall '-I 4 2'
loop_
_atom_site_label
_atom_site_type_symbol
_atom_site_fract_x
_atom_site_fract_y
_atom_site_fract_z
Li1 Li 0.0000 0.5000 0.2500
Zr1 Zr 0.0000 0.0000 0.2384
Zr2 Zr 0.0000 0.2273 0.0000
Mn1 Mn 0.0000 0.0000 0.0000
Cl1 Cl 0.0000 0.0000 0.5000
Cl2 Cl 0.0000 0.2469 0.2494
Cl3 Cl 0.0000 0.5000 0.0000
Cl4 Cl 0.2418 0.2418 0.0000
```

Peak list (8 most intense, 5° ≤ 2θ ≤ 70°, sorted by position)
- hkl 1 1 0, d = 7.511 Å, intensity 50.9
- hkl 1 0 1, d = 7.406 Å, intensity 100.0
- hkl 2 0 0, d = 5.311 Å, intensity 18.6
- hkl 4 0 0, d = 2.656 Å, intensity 79.8
- hkl 0 0 4, d = 2.583 Å, intensity 38.4
- hkl 4 4 0, d = 1.878 Å, intensity 24.8
- hkl 4 0 4, d = 1.852 Å, intensity 49.4
- hkl 4 4 4, d = 1.519 Å, intensity 23.2

2.
Theoretical X-ray powder pattern of RbMgGe2O6 for a wavelength of 1.5418 Å, from a crystal structure in Alexandria, relaxed with GGA-PBE.

Structural model:
```
data_RbMgGe2O6
_chemical_formula_sum 'Rb4 Mg4 Ge8 O24'
_cell_length_a 10.1276
_cell_length_b 11.3891
_cell_length_c 5.1643
_cell_angle_alpha 90.00
_cell_angle_beta 97.88
_cell_angle_gamma 90.00
_space_group_name_H-M_alt 'C 1 2/c 1'
_space_group_IT_number 15
_space_group_name_Hall '-C 2yc'
loop_
_atom_site_label
_atom_site_type_symbol
_atom_site_fract_x
_atom_site_fract_y
_atom_site_fract_z
Rb1 Rb 0.0000 0.0927 0.2500
Mg1 Mg 0.0000 0.2684 0.7500
Ge1 Ge 0.2027 0.4144 0.2564
O1 O 0.0769 0.3181 0.1131
O2 O 0.1386 0.1407 0.7488
O3 O 0.1804 0.4440 0.5928
```

Peak list (8 most intense, 5° ≤ 2θ ≤ 70°, sorted by position)
- hkl 3 1 0, d = 3.209 Å, intensity 99.6
- hkl 2 2 -1, d = 3.193 Å, intensity 100.0
- hkl 1 3 -1, d = 2.985 Å, intensity 66.5
- hkl 2 2 1, d = 2.893 Å, intensity 81.0
- hkl 0 4 0, d = 2.850 Å, intensity 46.5
- hkl 0 0 2, d = 2.558 Å, intensity 63.2
- hkl 3 5 0, d = 1.883 Å, intensity 39.4
- hkl 5 3 1, d = 1.617 Å, intensity 46.2

3.
Theoretical X-ray powder pattern of Nb3InTe6 for a wavelength of 1.5418 Å, from a crystal structure in Alexandria, relaxed with GGA-PBE.

Structural model:
```
data_Nb3InTe6
_chemical_formula_sum 'Nb12 In4 Te24'
_cell_length_a 9.4809
_cell_length_b 14.7572
_cell_length_c 7.3259
_cell_angle_alpha 90.00
_cell_angle_beta 90.00
_cell_angle_gamma 90.00
_space_group_name_H-M_alt 'C m c 21'
_space_group_IT_number 36
_space_group_name_Hall 'C 2c -2'
loop_
_atom_site_label
_atom_site_type_symbol
_atom_site_fract_x
_atom_site_fract_y
_atom_site_fract_z
Nb1 Nb 0.0000 0.0773 0.0000
Nb2 Nb 0.1482 0.3835 0.1036
In1 In 0.0000 0.3236 0.7591
Te1 Te 0.0000 0.1251 0.6129
Te2 Te 0.0000 0.4610 0.4672
Te3 Te 0.1978 0.0309 0.2909
Te4 Te 0.2339 0.2053 0.9588
```

Peak list (8 most intense, 5° ≤ 2θ ≤ 70°, sorted by position)
- hkl 3 1 1, d = 2.847 Å, intensity 19.0
- hkl 2 2 2, d = 2.702 Å, intensity 100.0
- hkl 0 4 2, d = 2.599 Å, intensity 16.1
- hkl 3 1 2, d = 2.362 Å, intensity 21.9
- hkl 0 6 1, d = 2.332 Å, intensity 24.6
- hkl 0 2 3, d = 2.318 Å, intensity 26.8
- hkl 3 5 0, d = 2.157 Å, intensity 23.9
- hkl 3 7 3, d = 1.424 Å, intensity 16.2

4.
Theoretical X-ray powder pattern of Rb12AuO4 for a wavelength of 1.5418 Å, from a crystal structure in Alexandria, relaxed with GGA-PBE.

Structural model:
```
data_Rb12AuO4
_chemical_formula_sum 'Rb24 Au2 O8'
_cell_length_a 11.2117
_cell_length_b 11.2138
_cell_length_c 11.2155
_cell_angle_alpha 90.00
_cell_angle_beta 90.00
_cell_angle_gamma 90.00
_space_group_name_H-M_alt 'I m m m'
_space_group_IT_number 71
_space_group_name_Hall '-I 2 2'
loop_
_atom_site_label
_atom_site_type_symbol
_atom_site_fract_x
_atom_site_fract_y
_atom_site_fract_z
Rb1 Rb 0.0000 0.2103 0.2222
Rb2 Rb 0.2100 0.2770 0.5000
Rb3 Rb 0.2223 0.5000 0.2108
Au1 Au 0.0000 0.0000 0.5000
O1 O 0.2500 0.2500 0.2500
```

Peak list (8 most intense, 5° ≤ 2θ ≤ 70°, sorted by position)
- hkl 1 0 1, d = 7.929 Å, intensity 50.5
- hkl 1 0 3, d = 3.546 Å, intensity 48.1
- hkl 2 2 2, d = 3.237 Å, intensity 100.0
- hkl 3 2 1, d = 2.997 Å, intensity 66.2
- hkl 0 4 0, d = 2.803 Å, intensity 59.8
- hkl 0 4 4, d = 1.982 Å, intensity 28.0
- hkl 3 2 5, d = 1.819 Å, intensity 39.8
- hkl 5 4 3, d = 1.586 Å, intensity 27.9

5.
Theoretical X-ray powder pattern of Fe2NiSnH for a wavelength of 1.5418 Å, from a crystal structure in Alexandria, relaxed with GGA-PBE.

Structural model:
```
data_Fe2NiSnH
_chemical_formula_sum 'Fe2 Ni1 Sn1 H1'
_cell_length_a 3.7229
_cell_length_b 3.7229
_cell_length_c 4.0368
_cell_angle_alpha 90.00
_cell_angle_beta 90.00
_cell_angle_gamma 90.00
_space_group_name_H-M_alt 'P 4/m m m'
_space_group_IT_number 123
_space_group_name_Hall '-P 4 2'
loop_
_atom_site_label
_atom_site_type_symbol
_atom_site_fract_x
_atom_site_fract_y
_atom_site_fract_z
Fe1 Fe 0.0000 0.5000 0.0000
Ni1 Ni 0.0000 0.0000 0.5000
Sn1 Sn 0.5000 0.5000 0.5000
H1 H 0.0000 0.0000 0.0000
```

Peak list (8 most intense, 5° ≤ 2θ ≤ 70°, sorted by position)
- hkl 0 0 1, d = 4.037 Å, intensity 5.5
- hkl 1 0 0, d = 3.723 Å, intensity 6.2
- hkl 1 0 1, d = 2.737 Å, intensity 6.6
- hkl 1 1 0, d = 2.633 Å, intensity 4.4
- hkl 1 1 1, d = 2.205 Å, intensity 100.0
- hkl 0 0 2, d = 2.018 Å, intensity 19.3
- hkl 2 0 0, d = 1.861 Å, intensity 29.8
- hkl 2 0 2, d = 1.368 Å, intensity 20.8

Q: Which formula does entry 3 have?
A: Nb3InTe6

Repeat the third record exactly.
Theoretical X-ray powder pattern of Nb3InTe6 for a wavelength of 1.5418 Å, from a crystal structure in Alexandria, relaxed with GGA-PBE.

Structural model:
```
data_Nb3InTe6
_chemical_formula_sum 'Nb12 In4 Te24'
_cell_length_a 9.4809
_cell_length_b 14.7572
_cell_length_c 7.3259
_cell_angle_alpha 90.00
_cell_angle_beta 90.00
_cell_angle_gamma 90.00
_space_group_name_H-M_alt 'C m c 21'
_space_group_IT_number 36
_space_group_name_Hall 'C 2c -2'
loop_
_atom_site_label
_atom_site_type_symbol
_atom_site_fract_x
_atom_site_fract_y
_atom_site_fract_z
Nb1 Nb 0.0000 0.0773 0.0000
Nb2 Nb 0.1482 0.3835 0.1036
In1 In 0.0000 0.3236 0.7591
Te1 Te 0.0000 0.1251 0.6129
Te2 Te 0.0000 0.4610 0.4672
Te3 Te 0.1978 0.0309 0.2909
Te4 Te 0.2339 0.2053 0.9588
```

Peak list (8 most intense, 5° ≤ 2θ ≤ 70°, sorted by position)
- hkl 3 1 1, d = 2.847 Å, intensity 19.0
- hkl 2 2 2, d = 2.702 Å, intensity 100.0
- hkl 0 4 2, d = 2.599 Å, intensity 16.1
- hkl 3 1 2, d = 2.362 Å, intensity 21.9
- hkl 0 6 1, d = 2.332 Å, intensity 24.6
- hkl 0 2 3, d = 2.318 Å, intensity 26.8
- hkl 3 5 0, d = 2.157 Å, intensity 23.9
- hkl 3 7 3, d = 1.424 Å, intensity 16.2